No. 1
Theoretical X-ray powder pattern of Fe2AgI6Cl2 for Cu Kα, 1.54184 Å, from a crystal structure in Alexandria, relaxed with GGA-PBE.
Lines closer than 0.1° are merged.

Principal peaks in the range 2θ = 10–80°, by angle:
| two_theta | I/Imax |
| --- | --- |
| 16.81 | 30 |
| 17.85 | 20 |
| 26.38 | 100 |
| 26.92 | 18 |
| 30.71 | 64 |
| 36.91 | 25 |
| 43.64 | 38 |
| 44.34 | 35 |

Structural model:
```
11
Lattice="7.184 0.000 0.000 -3.592 6.222 0.000 0.000 0.000 9.936" Properties=species:S:1:pos:R:3 pbc="T T T"
Fe 0.000 4.148 2.323
Fe 3.592 2.074 7.614
Ag 0.000 0.000 4.968
I -1.183 2.076 6.759
I -1.203 6.208 6.759
I 1.207 2.062 3.177
I 2.386 4.160 6.759
I 4.795 0.014 3.177
I 4.775 4.146 3.177
Cl 0.000 4.148 0.179
Cl 3.592 2.074 9.758
```

=====

No. 2
Theoretical X-ray powder pattern of Ba4NpO5 for Cu Kα, 1.54184 Å, from a crystal structure in Alexandria, relaxed with GGA-PBE.
Lines closer than 0.1° are merged.

Principal peaks in the range 2θ = 10–80°, by angle:
| two_theta | I/Imax |
| --- | --- |
| 28.08 | 100 |
| 31.02 | 28 |
| 33.27 | 47 |
| 46.12 | 35 |
| 47.76 | 17 |
| 53.40 | 18 |
| 56.32 | 31 |
| 58.05 | 18 |

Structural model:
```
10
Lattice="-4.258 4.258 2.883 4.258 -4.258 2.883 4.258 4.258 -2.883" Properties=species:S:1:pos:R:3 pbc="T T T"
Ba 2.547 0.854 0.000
Ba 3.404 -1.711 2.883
Ba 0.854 5.969 0.000
Ba 1.711 3.404 2.883
Np 0.000 0.000 3.037
O 5.004 2.060 0.001
O 2.060 3.512 0.001
O 2.197 0.746 2.884
O -0.746 2.197 2.884
O 0.000 0.000 5.149
```

=====

No. 3
Theoretical X-ray powder pattern of Li4HfS4 for Cu Kα, 1.54184 Å, from a crystal structure in Alexandria, relaxed with GGA-PBE.
Lines closer than 0.1° are merged.

Principal peaks in the range 2θ = 10–80°, by angle:
| two_theta | I/Imax |
| --- | --- |
| 11.84 | 100 |
| 14.30 | 67 |
| 17.46 | 18 |
| 19.69 | 19 |
| 25.93 | 33 |
| 26.33 | 22 |
| 33.46 | 39 |
| 38.52 | 19 |

Structural model:
```
9
Lattice="6.240 -1.859 0.000 6.240 1.859 0.000 -5.328 0.000 7.471" Properties=species:S:1:pos:R:3 pbc="T T T"
Li -0.143 0.000 2.820
Li 2.669 0.000 1.343
Li 4.483 0.000 6.129
Li 7.294 0.000 4.651
Hf 6.240 0.000 0.000
S -3.758 0.000 6.591
S -0.354 0.000 5.262
S 7.506 0.000 2.209
S 10.910 0.000 0.880
```

=====

No. 4
Theoretical X-ray powder pattern of Ac2La12Ho5 for Cu Kα, 1.54184 Å, from a crystal structure in Alexandria, relaxed with GGA-PBE.
Lines closer than 0.1° are merged.

Principal peaks in the range 2θ = 10–80°, by angle:
| two_theta | I/Imax |
| --- | --- |
| 29.79 | 24 |
| 30.18 | 52 |
| 30.57 | 34 |
| 30.78 | 100 |
| 31.52 | 57 |
| 33.83 | 21 |
| 43.49 | 22 |
| 53.99 | 26 |

Structural model:
```
19
Lattice="6.718 -5.923 0.000 6.718 5.923 0.000 -4.429 0.000 8.637" Properties=species:S:1:pos:R:3 pbc="T T T"
Ac 6.718 3.161 0.000
Ac 6.718 -3.161 0.000
La 3.318 2.845 1.745
La -2.445 0.000 6.694
La 2.705 3.367 4.937
La 6.302 3.367 3.700
La 4.755 0.000 0.464
La 5.689 2.845 6.892
La 3.318 -2.845 1.745
La 4.253 0.000 8.173
La 2.705 -3.367 4.937
La 6.302 -3.367 3.700
La 11.453 0.000 1.943
La 5.689 -2.845 6.892
Ho 1.540 0.000 2.105
Ho 1.227 0.000 5.759
Ho 4.504 0.000 4.319
Ho 7.781 0.000 2.879
Ho 7.468 0.000 6.532
```

=====

No. 5
Theoretical X-ray powder pattern of CeSmHg for Cu Kα, 1.54184 Å, from a crystal structure in Alexandria, relaxed with GGA-PBE.
Lines closer than 0.1° are merged.

Principal peaks in the range 2θ = 10–80°, by angle:
| two_theta | I/Imax |
| --- | --- |
| 29.75 | 100 |
| 30.83 | 86 |
| 32.25 | 59 |
| 32.43 | 45 |
| 36.70 | 64 |
| 36.86 | 54 |
| 43.38 | 63 |
| 63.41 | 34 |

Structural model:
```
6
Lattice="-1.671 2.918 9.009 1.671 -2.918 9.009 1.671 2.918 -9.009" Properties=species:S:1:pos:R:3 pbc="T T T"
Ce 0.000 1.306 0.000
Ce 0.000 4.530 0.000
Sm 1.671 0.000 3.026
Sm 0.000 2.918 5.983
Hg 1.671 0.000 6.176
Hg 0.000 2.918 2.832
```

=====

No. 6
Theoretical X-ray powder pattern of Er5Sb2Au for Cu Kα, 1.54184 Å, from a crystal structure in Alexandria, relaxed with GGA-PBE.
Lines closer than 0.1° are merged.

Principal peaks in the range 2θ = 10–80°, by angle:
| two_theta | I/Imax |
| --- | --- |
| 24.28 | 27 |
| 30.90 | 83 |
| 33.44 | 100 |
| 35.73 | 19 |
| 38.81 | 23 |
| 47.96 | 18 |
| 50.42 | 22 |
| 56.60 | 25 |

Structural model:
```
16
Lattice="2.893 -5.978 0.000 2.893 5.978 0.000 0.000 0.000 13.921" Properties=species:S:1:pos:R:3 pbc="T T T"
Er 2.893 5.227 8.438
Er 2.893 5.227 12.443
Er 2.893 1.692 3.480
Er 2.893 1.428 7.878
Er 2.893 1.428 13.004
Er 2.893 -1.428 0.917
Er 2.893 -1.428 6.043
Er 2.893 -1.692 10.441
Er 2.893 -5.227 1.478
Er 2.893 -5.227 5.483
Sb 2.893 3.657 1.248
Sb 2.893 3.657 5.713
Sb 2.893 -3.657 8.208
Sb 2.893 -3.657 12.673
Au 2.893 3.130 10.441
Au 2.893 -3.130 3.480
```

=====

No. 7
Theoretical X-ray powder pattern of InMo3 for Cu Kα, 1.54184 Å, from a crystal structure in Alexandria, relaxed with GGA-PBE.
Lines closer than 0.1° are merged.

Principal peaks in the range 2θ = 10–80°, by angle:
| two_theta | I/Imax |
| --- | --- |
| 38.25 | 100 |
| 41.52 | 4 |
| 43.44 | 18 |
| 44.97 | 30 |
| 64.30 | 20 |
| 65.48 | 8 |
| 76.26 | 13 |
| 78.45 | 20 |

Structural model:
```
8
Lattice="5.702 0.000 0.000 0.000 5.702 0.000 0.000 0.000 4.167" Properties=species:S:1:pos:R:3 pbc="T T T"
In 0.000 0.000 0.000
In 2.851 2.851 0.000
Mo 0.000 2.851 0.000
Mo 1.279 1.572 2.083
Mo 1.572 4.423 2.083
Mo 2.851 0.000 0.000
Mo 4.130 1.279 2.083
Mo 4.423 4.130 2.083
```

=====

No. 8
Theoretical X-ray powder pattern of NiHg for Cu Kα, 1.54184 Å, from a crystal structure in Alexandria, relaxed with GGA-PBE.
Lines closer than 0.1° are merged.

Principal peaks in the range 2θ = 10–80°, by angle:
| two_theta | I/Imax |
| --- | --- |
| 27.40 | 56 |
| 35.72 | 25 |
| 37.51 | 100 |
| 40.15 | 45 |
| 41.69 | 33 |
| 42.31 | 34 |
| 59.26 | 24 |
| 59.75 | 29 |

Structural model:
```
4
Lattice="1.513 -5.027 0.000 1.513 5.027 0.000 0.000 0.000 4.272" Properties=species:S:1:pos:R:3 pbc="T T T"
Ni 1.513 4.269 3.204
Ni 1.513 -4.269 1.068
Hg 1.513 1.516 3.204
Hg 1.513 -1.516 1.068
```

=====

No. 9
Theoretical X-ray powder pattern of La7Pr2Ho4 for Cu Kα, 1.54184 Å, from a crystal structure in Alexandria, relaxed with GGA-PBE.
Lines closer than 0.1° are merged.

Principal peaks in the range 2θ = 10–80°, by angle:
| two_theta | I/Imax |
| --- | --- |
| 27.07 | 24 |
| 28.27 | 22 |
| 29.09 | 39 |
| 31.43 | 100 |
| 31.71 | 24 |
| 35.01 | 27 |
| 50.05 | 27 |
| 50.64 | 17 |

Structural model:
```
13
Lattice="6.313 0.000 0.000 -3.157 5.467 0.000 0.000 0.000 13.177" Properties=species:S:1:pos:R:3 pbc="T T T"
La 0.000 0.000 0.000
La -1.207 2.091 3.056
La -1.949 3.376 10.121
La 2.414 0.000 3.056
La 1.207 2.091 10.121
La 3.899 0.000 10.121
La 1.949 3.376 3.056
Pr 0.000 3.645 0.000
Pr 3.157 1.822 0.000
Ho 0.000 0.000 5.144
Ho 0.000 0.000 8.033
Ho 0.000 3.645 6.588
Ho 3.157 1.822 6.588
```

=====

No. 10
Theoretical X-ray powder pattern of Y4Ga16Fe3 for Cu Kα, 1.54184 Å, from a crystal structure in Alexandria, relaxed with GGA-PBE.
Lines closer than 0.1° are merged.

Principal peaks in the range 2θ = 10–80°, by angle:
| two_theta | I/Imax |
| --- | --- |
| 33.76 | 51 |
| 38.36 | 100 |
| 40.21 | 31 |
| 42.41 | 76 |
| 44.12 | 22 |
| 59.87 | 35 |
| 61.53 | 23 |
| 74.88 | 23 |

Structural model:
```
23
Lattice="6.029 0.000 0.000 0.000 6.029 0.000 0.000 0.000 11.213" Properties=species:S:1:pos:R:3 pbc="T T T"
Y 0.000 3.014 2.178
Y 0.000 3.014 9.034
Y 3.014 0.000 2.178
Y 3.014 0.000 9.034
Ga 0.000 0.000 2.229
Ga 0.000 0.000 8.984
Ga 1.319 1.319 0.000
Ga 1.319 4.709 0.000
Ga 1.518 1.518 4.327
Ga 1.518 1.518 6.886
Ga 1.518 4.510 4.327
Ga 1.518 4.510 6.886
Ga 3.014 3.014 2.423
Ga 3.014 3.014 8.790
Ga 4.510 1.518 4.327
Ga 4.510 1.518 6.886
Ga 4.510 4.510 4.327
Ga 4.510 4.510 6.886
Ga 4.709 1.319 0.000
Ga 4.709 4.709 0.000
Fe 0.000 3.014 5.606
Fe 3.014 0.000 5.606
Fe 3.014 3.014 0.000
```